Record 1
The following is a computed PXRD pattern of Rb2ScHgCl6. It was derived from a DFT-relaxed cell (PBE, the Materials Project), using CuKα.
Peak positions follow from Bragg's law for the DFT cell and can differ from measured ones.

Atomic structure:
Unit cell a=7.6760 b=7.6760 c=7.6760 alpha=60.00 beta=60.00 gamma=60.00
Atoms (fractional coordinates):
Rb: 0.2500 0.2500 0.2500
Rb: 0.7500 0.7500 0.7500
Sc: 0.0000 0.0000 0.0000
Hg: 0.5000 0.5000 0.5000
Cl: 0.2304 0.2304 0.7696
Cl: 0.2304 0.7696 0.2304
Cl: 0.2304 0.7696 0.7696
Cl: 0.7696 0.2304 0.2304
Cl: 0.7696 0.2304 0.7696
Cl: 0.7696 0.7696 0.2304

Peak list (10 most intense, 2θ from 10° to 90°, most intense first)
d = 3.838 Å, 23.17°, intensity 100; d = 2.714 Å, 33.01°, intensity 66; d = 2.216 Å, 40.72°, intensity 45; d = 1.919 Å, 47.37°, intensity 44; d = 3.273 Å, 27.25°, intensity 29; d = 1.451 Å, 64.21°, intensity 26; d = 6.267 Å, 14.13°, intensity 24; d = 1.716 Å, 53.38°, intensity 24; d = 5.428 Å, 16.33°, intensity 21; d = 2.490 Å, 36.06°, intensity 21



Record 2
The following is a computed PXRD pattern of ZrHg3Se2Cl6. It was derived from a DFT-relaxed cell (PBE, the Materials Project), using CuKα.
Peak positions follow from Bragg's law for the DFT cell and can differ from measured ones.

Atomic structure:
Unit cell a=6.7859 b=7.7323 c=13.5037 alpha=90.00 beta=91.77 gamma=90.00
Atoms (fractional coordinates):
Zr: 0.0000 0.0000 0.0000
Zr: 0.0000 0.5000 0.5000
Hg: 0.4931 0.2056 0.2391
Hg: 0.4931 0.2944 0.7391
Hg: 0.5000 0.0000 0.5000
Hg: 0.5000 0.5000 0.0000
Hg: 0.5069 0.7056 0.2609
Hg: 0.5069 0.7944 0.7609
Se: 0.3210 0.5371 0.8310
Se: 0.3210 0.9629 0.3310
Se: 0.6790 0.0371 0.6690
Se: 0.6790 0.4629 0.1690
Cl: 0.1366 0.2219 0.5656
Cl: 0.1366 0.2781 0.0656
Cl: 0.1485 0.0505 0.8359
Cl: 0.1485 0.4495 0.3359
Cl: 0.3092 0.6489 0.5582
Cl: 0.3092 0.8511 0.0582
Cl: 0.6908 0.1489 0.9418
Cl: 0.6908 0.3511 0.4418
Cl: 0.8515 0.5505 0.6641
Cl: 0.8515 0.9495 0.1641
Cl: 0.8634 0.7219 0.9344
Cl: 0.8634 0.7781 0.4344

Peak list (10 most intense, 2θ from 10° to 90°, most intense first)
d = 6.781 Å, 13.06°, intensity 100; d = 4.807 Å, 18.46°, intensity 61; d = 3.025 Å, 29.52°, intensity 51; d = 4.720 Å, 18.80°, intensity 47; d = 2.366 Å, 38.03°, intensity 45; d = 2.985 Å, 29.93°, intensity 43; d = 2.404 Å, 37.40°, intensity 38; d = 3.355 Å, 26.57°, intensity 37; d = 1.944 Å, 46.72°, intensity 25; d = 3.374 Å, 26.41°, intensity 25